Structure and theoretical powder X-ray diffraction pattern of Rb3Sm3PaSe8 (a DFT-relaxed cell (GGA-PBE, Alexandria); a wavelength of 1.5418 Å).
Neutral-atom scattering factors, no anomalous dispersion.

Top 10 peaks for 10° ≤ 2θ ≤ 90°, sorted by position:
2theta  I (rel.)
10.87  52
28.14  100
35.30  19
38.17  34
42.18  36
43.68  11
47.73  11
51.47  19
62.97  12
68.66  16

Atomic structure:
```
Rb3Sm3PaSe8
1.0
4.285 2.474 8.143
-4.285 2.474 8.143
0.000 -4.948 8.143
Rb Sm Pa Se
3 3 1 8
Cartesian
-2.143 -1.237 8.143 Rb
-2.143 1.237 16.286 Rb
0.000 2.474 8.143 Rb
-4.285 0.000 12.214 Sm
-2.143 1.237 4.071 Sm
2.143 1.237 4.071 Sm
0.000 0.000 12.214 Pa
0.000 0.000 5.684 Se
-2.097 -1.210 13.786 Se
0.000 -2.421 10.642 Se
-2.097 1.210 10.642 Se
2.097 -1.210 13.786 Se
0.000 2.421 13.786 Se
2.097 1.210 10.642 Se
0.000 0.000 18.745 Se
```